# Li4Cr3GaO8
Calculated XRD peak list, Cu Kα (λ = 1.5418 Å). Input: the PBE+U geometry in Alexandria.
Lines closer than 0.1° are merged.

The 12 most intense peaks (15° ≤ 2θ ≤ 90°), sorted by position:
2θ (°), I (rel.), index
18.26, 100, 0 0 1
35.49, 42, 2 0 -1
37.11, 13, 2 0 0
43.09, 78, 1 2 1
47.16, 14, 1 2 -2
56.93, 16, 1 2 2
62.51, 21, 2 0 2
62.65, 22, 0 4 0
65.85, 15, 3 2 0
75.06, 6, 3 2 1
79.06, 10, 4 0 0
89.68, 7, 4 0 1

a b c (Å): 5.136 5.933 5.150
angles (deg): 90.00 109.39 90.00
Fractional positions:
1 Li 0.000 0.000 0.000
2 Li 0.000 0.500 0.000
3 Li 0.500 0.250 0.000
4 Li 0.500 0.750 0.000
5 Cr 0.000 0.250 0.500
6 Cr 0.000 0.750 0.500
7 Cr 0.500 0.000 0.500
8 Ga 0.500 0.500 0.500
9 O 0.241 0.000 0.724
10 O 0.243 0.500 0.725
11 O 0.259 0.251 0.275
12 O 0.259 0.749 0.275
13 O 0.741 0.251 0.725
14 O 0.741 0.749 0.725
15 O 0.757 0.500 0.275
16 O 0.759 0.000 0.276